(1)
Theoretical powder diffractogram
Compound: Dy2ErMg3Ir2Pt
Radiation: Cu Kα (weighted mean of Kα1 and Kα2)
Structure: a cell relaxed with PBE

Most intense lines, 15 to 90 degrees two-theta, low angle first:
24.38°, intensity 49; 26.21°, intensity 25; 33.10°, intensity 64; 36.10°, intensity 100; 42.90°, intensity 36; 44.04°, intensity 34; 44.97°, intensity 22; 57.28°, intensity 17; 63.90°, intensity 22; 68.77°, intensity 25

Crystal structure
a = 4.0317 Å, b = 7.3020 Å, c = 7.3020 Å
α = 120.00°, β = 90.00°, γ = 90.00°
Element x y z (fractional)
Dy: 0.0000 0.2067 0.7933
Dy: 0.0000 0.7933 0.2067
Er: 0.0000 0.6200 0.6200
Mg: 0.5000 0.2068 0.4540
Mg: 0.5000 0.4540 0.2068
Mg: 0.5000 0.9593 0.9593
Ir: 0.5000 0.5401 0.8731
Ir: 0.5000 0.8731 0.5401
Pt: 0.0000 0.2070 0.2070

---

(2)
Theoretical powder diffractogram
Compound: Dy3Er4Te2Ir2
Radiation: Cu Kα (weighted mean of Kα1 and Kα2)
Structure: a cell relaxed with PBE

Most intense lines, 15 to 90 degrees two-theta, low angle first:
30.04°, intensity 18; 30.17°, intensity 36; 33.24°, intensity 44; 33.70°, intensity 100; 34.33°, intensity 48; 36.62°, intensity 23; 38.44°, intensity 27; 46.32°, intensity 33; 58.19°, intensity 18; 77.69°, intensity 13

Crystal structure
a = 9.3555 Å, b = 9.3555 Å, c = 9.3555 Å
α = 155.81°, β = 66.23°, γ = 119.40°
Element x y z (fractional)
Dy: 0.0000 0.0000 0.0000
Dy: 0.4507 0.5824 0.8683
Dy: 0.7140 0.5824 0.1317
Er: 0.0567 0.3721 0.6846
Er: 0.0849 0.7313 0.3536
Er: 0.3776 0.7313 0.6464
Er: 0.6875 0.3721 0.3154
Te: 0.3367 0.3367 0.0000
Te: 0.7359 0.2359 0.5000
Ir: 0.3093 0.0718 0.2375
Ir: 0.8343 0.0718 0.7625

---

(3)
Theoretical powder diffractogram
Compound: Dy6ErTe2Ir2
Radiation: Cu Kα (weighted mean of Kα1 and Kα2)
Structure: a cell relaxed with PBE

Most intense lines, 15 to 90 degrees two-theta, low angle first:
29.93°, intensity 18; 30.06°, intensity 36; 33.11°, intensity 43; 33.58°, intensity 100; 34.20°, intensity 46; 36.48°, intensity 22; 38.29°, intensity 26; 46.14°, intensity 32; 57.96°, intensity 17; 77.36°, intensity 13

Crystal structure
a = 9.3902 Å, b = 9.3902 Å, c = 9.3902 Å
α = 155.81°, β = 66.22°, γ = 119.40°
Element x y z (fractional)
Dy: 0.1053 0.7897 0.3156
Dy: 0.1315 0.0000 0.1315
Dy: 0.4741 0.7897 0.6844
Dy: 0.5030 0.1491 0.3539
Dy: 0.7952 0.1491 0.6461
Dy: 0.8685 0.0000 0.8685
Er: 0.4176 0.4176 0.0000
Te: 0.1535 0.6535 0.5000
Te: 0.7544 0.7544 0.0000
Ir: 0.2517 0.4893 0.7624
Ir: 0.7270 0.4893 0.2376

---

(4)
Theoretical powder diffractogram
Compound: DyEr6Te2Ir2
Radiation: Cu Kα (weighted mean of Kα1 and Kα2)
Structure: a cell relaxed with PBE

Most intense lines, 15 to 90 degrees two-theta, low angle first:
28.54°, intensity 12; 30.13°, intensity 18; 30.24°, intensity 36; 33.31°, intensity 44; 33.80°, intensity 100; 34.42°, intensity 48; 36.70°, intensity 22; 38.53°, intensity 26; 46.44°, intensity 32; 58.33°, intensity 18

Crystal structure
a = 9.3301 Å, b = 9.3301 Å, c = 9.3301 Å
α = 155.80°, β = 66.28°, γ = 119.35°
Element x y z (fractional)
Dy: 0.0000 0.0000 0.0000
Er: 0.0567 0.3721 0.6846
Er: 0.0849 0.7313 0.3536
Er: 0.3777 0.7313 0.6464
Er: 0.4506 0.5824 0.8682
Er: 0.6874 0.3721 0.3154
Er: 0.7142 0.5824 0.1318
Te: 0.3370 0.3370 0.0000
Te: 0.7357 0.2357 0.5000
Ir: 0.3096 0.0718 0.2377
Ir: 0.8341 0.0718 0.7623

---

(5)
Theoretical powder diffractogram
Compound: Li3DyEr2Pb3
Radiation: Cu Kα (weighted mean of Kα1 and Kα2)
Structure: a cell relaxed with PBE

Most intense lines, 15 to 90 degrees two-theta, low angle first:
21.53°, intensity 13; 23.08°, intensity 40; 27.22°, intensity 33; 33.06°, intensity 100; 37.75°, intensity 65; 51.05°, intensity 30; 65.04°, intensity 26; 65.21°, intensity 29; 68.16°, intensity 12; 89.96°, intensity 13

Crystal structure
a = 4.7656 Å, b = 4.7656 Å, c = 10.7741 Å
α = 90.00°, β = 90.00°, γ = 120.00°
Element x y z (fractional)
Li: 0.0000 0.0000 0.0000
Li: 0.3333 0.6667 0.3105
Li: 0.3333 0.6667 0.6895
Dy: 0.6667 0.3333 0.5000
Er: 0.6667 0.3333 0.1644
Er: 0.6667 0.3333 0.8356
Pb: 0.0000 0.0000 0.3271
Pb: 0.0000 0.0000 0.6729
Pb: 0.3333 0.6667 0.0000

---

(6)
Theoretical powder diffractogram
Compound: Dy2ErLu
Radiation: Cu Kα (weighted mean of Kα1 and Kα2)
Structure: a cell relaxed with PBE

Most intense lines, 15 to 90 degrees two-theta, low angle first:
28.88°, intensity 24; 32.21°, intensity 24; 33.16°, intensity 100; 43.80°, intensity 16; 51.19°, intensity 20; 58.03°, intensity 20; 61.78°, intensity 22; 62.36°, intensity 16; 84.80°, intensity 14; 89.35°, intensity 9

Crystal structure
a = 5.5590 Å, b = 12.3642 Å, c = 7.1383 Å
α = 90.00°, β = 90.00°, γ = 90.00°
Element x y z (fractional)
Dy: 0.2500 0.0830 0.0000
Dy: 0.2500 0.3333 0.2501
Dy: 0.2500 0.5830 0.5000
Dy: 0.2500 0.8333 0.7501
Dy: 0.7500 0.1667 0.7501
Dy: 0.7500 0.4170 0.5000
Dy: 0.7500 0.6667 0.2501
Dy: 0.7500 0.9170 0.0000
Er: 0.2500 0.3336 0.7492
Er: 0.2500 0.8336 0.2492
Er: 0.7500 0.1664 0.2492
Er: 0.7500 0.6664 0.7492
Lu: 0.2500 0.0833 0.4992
Lu: 0.2500 0.5833 0.9992
Lu: 0.7500 0.4167 0.9992
Lu: 0.7500 0.9167 0.4992